# 1
The following is a computed powder X-ray diffraction pattern of Sm3Th3Si4. It was derived from DFT lattice parameters and positions (GGA-PBE), using Cu Kα X-rays.
Peak positions follow from Bragg's law for the DFT cell and can differ from measured ones.

Main lines, low angle first (2θ = 10–80°):
2theta, Rel. int.
25.47, 36
26.99, 50
31.55, 100
33.61, 67
36.33, 55
54.55, 32

Structure:
```
Sm3Th3Si4
1.0
4.1205 0.0000 0.0000
0.0000 5.5283 5.5298
0.0000 -5.5283 5.5298
Sm Th Si
3 3 4
Cartesian
0.0000 0.0000 0.0000
0.0000 -1.9497 7.4997
0.0000 1.9497 7.4997
0.0000 0.0000 3.9576
2.0602 -2.7476 4.7261
2.0602 2.7476 4.7261
2.0602 -1.2591 1.9551
2.0602 1.2591 1.9551
2.0602 0.0000 6.2518
2.0602 0.0000 8.7572
```


# 2
The following is a computed powder X-ray diffraction pattern of SnMo12PbS16. It was derived from DFT lattice parameters and positions (GGA-PBE), using Cu Kα X-rays.
Peak positions follow from Bragg's law for the DFT cell and can differ from measured ones.

Main lines, low angle first (2θ = 10–80°):
2theta, Rel. int.
13.44, 89
18.96, 76
30.45, 93
41.28, 83
43.30, 68
45.71, 100

Structure:
```
SnMo12PbS16
1.0
6.5880 0.0000 0.0000
0.0654 6.5877 0.0000
0.1336 0.1179 13.1826
Sn Mo Pb S
1 12 1 16
Cartesian
0.0000 0.0000 0.0000
1.5546 2.7556 3.6892
1.6270 2.8566 10.3048
2.7929 3.6965 1.4813
2.8638 3.7876 8.0947
2.9728 5.1082 3.8345
3.0507 5.2092 10.4496
3.7363 1.4965 2.7330
3.8143 1.5975 9.3482
3.9233 2.9180 5.0879
3.9941 3.0091 11.7014
5.1600 3.8490 2.8778
5.2324 3.9501 9.4935
0.0668 0.0589 6.5913
0.9049 4.8824 2.4969
0.9774 4.9734 9.1216
1.6267 1.5960 1.5826
1.7039 1.6924 8.2096
1.8120 4.1032 5.7505
1.8766 4.2115 12.3558
2.6306 0.9563 11.4820
2.5765 0.8586 4.8664
4.2105 5.8470 8.3162
4.1564 5.7493 1.7006
4.9104 2.4941 0.8268
4.9750 2.6024 7.4322
5.0831 5.0132 4.9730
5.1603 5.1096 11.6000
5.8096 1.7323 4.0610
5.8821 1.8233 10.6858
```


# 3
The following is a computed powder X-ray diffraction pattern of TmGa6Fe12. It was derived from DFT lattice parameters and positions (GGA-PBE), using Cu Kα X-rays.
Peak positions follow from Bragg's law for the DFT cell and can differ from measured ones.

Main lines, low angle first (2θ = 10–80°):
2theta, Rel. int.
27.82, 48
36.52, 80
36.87, 100
47.95, 67
48.38, 49
54.56, 53

Structure:
```
TmGa6Fe12
1.0
5.3074 3.0642 2.7770
-5.3074 3.0642 2.7770
0.0000 -6.1285 2.7770
Tm Ga Fe
1 6 12
Cartesian
0.0000 0.0000 0.0000
0.0000 -2.6903 3.5252
-2.3298 1.3451 3.5252
-2.3298 -1.3451 4.8057
2.3298 1.3451 3.5252
2.3298 -1.3451 4.8057
0.0000 2.6903 4.8057
-2.0788 -3.6007 4.1654
-4.1577 0.0000 4.1654
-1.3220 -0.7632 2.5366
1.3220 -0.7632 2.5366
0.0000 1.5265 2.5366
2.0788 -3.6007 4.1654
-2.0788 3.6007 4.1654
0.0000 -1.5265 5.7943
-1.3220 0.7632 5.7943
1.3220 0.7632 5.7943
4.1577 0.0000 4.1654
2.0789 3.6007 4.1654
```


# 4
The following is a computed powder X-ray diffraction pattern of PrNdPbSe. It was derived from DFT lattice parameters and positions (GGA-PBE), using Cu Kα X-rays.
Peak positions follow from Bragg's law for the DFT cell and can differ from measured ones.

Main lines, low angle first (2θ = 10–80°):
2theta, Rel. int.
28.42, 100
40.63, 77
50.33, 28
66.50, 12
66.64, 24
73.97, 18

Structure:
```
PrNdPbSe
1.0
4.4370 0.0000 0.0000
0.0000 4.4370 0.0000
0.0000 0.0000 6.2910
Pr Nd Pb Se
1 1 1 1
Cartesian
0.0000 0.0000 0.0000
2.2185 2.2185 3.1455
0.0000 0.0000 3.1455
2.2185 2.2185 0.0000
```


# 5
The following is a computed powder X-ray diffraction pattern of PmHg4Pb. It was derived from DFT lattice parameters and positions (GGA-PBE), using Cu Kα X-rays.
Peak positions follow from Bragg's law for the DFT cell and can differ from measured ones.

Main lines, low angle first (2θ = 10–80°):
2theta, Rel. int.
32.65, 48
33.45, 100
34.10, 50
35.26, 86
45.11, 21
59.44, 20

Structure:
```
PmHg4Pb
1.0
5.2902 0.0000 0.0000
0.0000 7.1882 0.0000
-1.7499 0.0000 8.2268
Pm Hg Pb
2 8 2
Cartesian
0.3402 1.7970 2.8927
3.2001 5.3911 5.3340
0.3651 5.3911 2.9692
0.5497 0.1362 5.6484
0.5497 3.4579 5.6484
0.8836 5.3911 7.9948
2.6567 1.7970 0.2320
2.9906 3.7302 2.5783
2.9906 7.0520 2.5783
3.1751 1.7970 5.2576
0.0000 0.0000 0.0000
0.0000 3.5941 0.0000
```


# 6
The following is a computed powder X-ray diffraction pattern of Y5AgTe4. It was derived from DFT lattice parameters and positions (GGA-PBE), using Cu Kα X-rays.
Peak positions follow from Bragg's law for the DFT cell and can differ from measured ones.

Main lines, low angle first (2θ = 10–80°):
2theta, Rel. int.
28.93, 52
29.13, 100
41.52, 75
41.67, 36
51.53, 39
75.96, 23

Structure:
```
Y5AgTe4
1.0
-4.8464 4.8464 3.0861
4.8464 -4.8464 3.0861
4.8464 4.8464 -3.0861
Y Ag Te
5 1 4
Cartesian
0.0000 0.0000 0.0000
5.8154 2.0660 0.0000
2.0660 3.8774 0.0000
2.7804 0.9690 3.0861
-0.9690 2.7804 3.0861
0.0000 0.0000 3.0861
2.9564 0.9027 0.0000
3.9437 -1.8899 3.0861
0.9027 6.7363 0.0000
1.8899 3.9437 3.0861
```